# 1
Computed powder diffraction line list
Compound: Li5Fe11O16
Radiation: Cu Kα X-rays
Structure: DFT lattice parameters and positions (PBE+U)
Kinematic intensities with the Lorentz-polarization factor, no thermal factor.

Structural model:
a b c (Å): 6.0423 6.0618 10.3428
angles (deg): 74.03 74.00 60.52
Element x y z (fractional)
Li1 0.0000 0.0000 0.0000
Li2 0.9998 0.9996 0.4983
Li3 0.5001 0.5024 0.4985
Li4 0.5007 0.5025 0.9999
Li5 0.5019 0.0015 0.4965
Fe1 0.0135 0.5009 0.4966
Fe2 0.2481 0.7492 0.2488
Fe3 0.2506 0.2454 0.2542
Fe4 0.2558 0.2507 0.7438
Fe5 0.2585 0.7576 0.7450
Fe6 0.4977 0.0031 0.9952
Fe7 0.7403 0.7558 0.2537
Fe8 0.7407 0.2460 0.2573
Fe9 0.7498 0.2496 0.7493
Fe10 0.7503 0.7555 0.7446
Fe11 0.9991 0.4950 0.0024
O1 0.1085 0.1289 0.6279
O2 0.1082 0.1455 0.1165
O3 0.1121 0.6168 0.1285
O4 0.1279 0.6295 0.6220
O5 0.3685 0.3761 0.3827
O6 0.3718 0.3968 0.8709
O7 0.3739 0.8737 0.8709
O8 0.3826 0.8755 0.3612
O9 0.6278 0.1264 0.6382
O10 0.6279 0.6063 0.6311
O11 0.6309 0.1013 0.1263
O12 0.6455 0.6218 0.1198
O13 0.8700 0.3990 0.3768
O14 0.8725 0.8567 0.3784
O15 0.8829 0.3843 0.8681
O16 0.8978 0.8723 0.8689

Top 10 peaks for 2θ = 10–90°, in order of rising 2θ:
2θ = 17.91°, rel. 38
2θ = 18.10°, rel. 83
2θ = 36.28°, rel. 62
2θ = 36.39°, rel. 31
2θ = 36.67°, rel. 30
2θ = 41.94°, rel. 100
2θ = 42.07°, rel. 99
2θ = 42.84°, rel. 94
2θ = 61.12°, rel. 54
2θ = 61.83°, rel. 53


# 2
Computed powder diffraction line list
Compound: Li2FeNi3O8
Radiation: Cu Kα X-rays
Structure: DFT lattice parameters and positions (PBE+U)
Kinematic intensities with the Lorentz-polarization factor, no thermal factor.

Structural model:
a b c (Å): 5.8504 5.8504 5.8620
angles (deg): 119.53 119.53 58.55
Element x y z (fractional)
Li1 0.0000 0.5000 0.0000
Li2 0.5000 0.0000 0.0000
Fe1 0.0000 0.0000 0.5000
Ni1 0.0000 0.5000 0.5000
Ni2 0.5000 0.0000 0.5000
Ni3 0.5000 0.5000 0.5000
O1 0.2264 0.2264 0.7129
O2 0.2511 0.7471 0.2855
O3 0.2529 0.7489 0.7145
O4 0.2770 0.2770 0.2968
O5 0.7230 0.7230 0.7032
O6 0.7471 0.2511 0.2855
O7 0.7489 0.2529 0.7145
O8 0.7736 0.7736 0.2871

Top 10 peaks for 2θ = 10–90°, in order of rising 2θ:
2θ = 18.34°, rel. 100
2θ = 35.62°, rel. 13
2θ = 36.59°, rel. 24
2θ = 38.03°, rel. 7
2θ = 42.96°, rel. 20
2θ = 44.24°, rel. 36
2θ = 47.88°, rel. 11
2θ = 58.11°, rel. 10
2θ = 63.09°, rel. 10
2θ = 63.65°, rel. 10


# 3
Computed powder diffraction line list
Compound: Ba2Fe2Se2OF2
Radiation: Cu Kα X-rays
Structure: DFT lattice parameters and positions (PBE+U)
Kinematic intensities with the Lorentz-polarization factor, no thermal factor.

Structural model:
a b c (Å): 10.4195 10.4195 10.4195
angles (deg): 156.38 156.38 33.66
Element x y z (fractional)
Ba1 0.1703 0.1703 0.0000
Ba2 0.8297 0.8297 0.0000
Fe1 0.0000 0.5000 0.5000
Fe2 0.5000 0.0000 0.5000
Se1 0.4096 0.4096 0.0000
Se2 0.5904 0.5904 0.0000
O1 0.0000 0.0000 0.0000
F1 0.2500 0.7500 0.5000
F2 0.7500 0.2500 0.5000

Top 10 peaks for 2θ = 10–90°, in order of rising 2θ:
2θ = 24.80°, rel. 80
2θ = 29.62°, rel. 40
2θ = 30.68°, rel. 100
2θ = 34.76°, rel. 85
2θ = 37.97°, rel. 25
2θ = 42.38°, rel. 68
2θ = 46.16°, rel. 28
2θ = 47.30°, rel. 31
2θ = 49.72°, rel. 25
2θ = 53.22°, rel. 41


# 4
Computed powder diffraction line list
Compound: HoMn4Cu3O12
Radiation: Cu Kα X-rays
Structure: DFT lattice parameters and positions (PBE+U)
Kinematic intensities with the Lorentz-polarization factor, no thermal factor.

Structural model:
a b c (Å): 6.4287 6.4287 6.4287
angles (deg): 109.47 109.47 109.47
Element x y z (fractional)
Ho1 0.0000 0.0000 0.0000
Mn1 0.0000 0.0000 0.5000
Mn2 0.0000 0.5000 0.0000
Mn3 0.5000 0.0000 0.0000
Mn4 0.5000 0.5000 0.5000
Cu1 0.0000 0.5000 0.5000
Cu2 0.5000 0.0000 0.5000
Cu3 0.5000 0.5000 0.0000
O1 0.1322 0.8309 0.3013
O2 0.1691 0.3013 0.4705
O3 0.1691 0.6987 0.8678
O4 0.3013 0.1322 0.8309
O5 0.3013 0.4705 0.1691
O6 0.4705 0.1691 0.3013
O7 0.5295 0.8309 0.6987
O8 0.6987 0.5295 0.8309
O9 0.6987 0.8678 0.1691
O10 0.8309 0.3013 0.1322
O11 0.8309 0.6987 0.5295
O12 0.8678 0.1691 0.6987

Top 10 peaks for 2θ = 10–90°, in order of rising 2θ:
2θ = 16.89°, rel. 17
2θ = 23.98°, rel. 6
2θ = 34.16°, rel. 100
2θ = 38.34°, rel. 10
2θ = 42.17°, rel. 7
2θ = 45.73°, rel. 11
2θ = 49.09°, rel. 25
2θ = 61.16°, rel. 47
2θ = 71.96°, rel. 12
2θ = 82.12°, rel. 16


Please write out number 3 again, unchanged.
Computed powder diffraction line list
Compound: Ba2Fe2Se2OF2
Radiation: Cu Kα X-rays
Structure: DFT lattice parameters and positions (PBE+U)
Kinematic intensities with the Lorentz-polarization factor, no thermal factor.

Structural model:
a b c (Å): 10.4195 10.4195 10.4195
angles (deg): 156.38 156.38 33.66
Element x y z (fractional)
Ba1 0.1703 0.1703 0.0000
Ba2 0.8297 0.8297 0.0000
Fe1 0.0000 0.5000 0.5000
Fe2 0.5000 0.0000 0.5000
Se1 0.4096 0.4096 0.0000
Se2 0.5904 0.5904 0.0000
O1 0.0000 0.0000 0.0000
F1 0.2500 0.7500 0.5000
F2 0.7500 0.2500 0.5000

Top 10 peaks for 2θ = 10–90°, in order of rising 2θ:
2θ = 24.80°, rel. 80
2θ = 29.62°, rel. 40
2θ = 30.68°, rel. 100
2θ = 34.76°, rel. 85
2θ = 37.97°, rel. 25
2θ = 42.38°, rel. 68
2θ = 46.16°, rel. 28
2θ = 47.30°, rel. 31
2θ = 49.72°, rel. 25
2θ = 53.22°, rel. 41